Calculated X-ray diffraction stick pattern of Na2Y2RhO6 for Cu Kα, from DFT lattice parameters and positions (PBE).

Crystal structure
```
Na2Y2RhO6
1.0
2.8715 -4.9672 0.0000
2.8715 4.9672 0.0000
-1.5038 0.0000 5.6771
Na Y Rh O
2 2 1 6
direct
0.1449 0.8551 0.0000
0.8551 0.1449 0.0000
0.3369 0.6631 0.5000
0.6631 0.3369 0.5000
0.0000 0.0000 0.5000
0.0430 0.3560 0.6938
0.2484 0.2484 0.2979
0.3560 0.0430 0.6938
0.6440 0.9570 0.3062
0.7516 0.7516 0.7021
0.9570 0.6440 0.3062
```

Largest 10 diffraction maxima, by intensity, 10° ≤ 2θ ≤ 90°:
2theta  I (rel.)
15.61  100
37.17  51
31.48  38
39.15  23
33.34  22
55.54  22
48.16  15
54.62  14
32.06  14
32.25  13